Starting from a GGA-PBE-relaxed structure, the PXRD pattern of Nd2Sm2C2Br2F3 was calculated for a wavelength of 1.5418 Å.
No peak broadening, texture or thermal motion is included.

Peak list (10 most intense, 15 to 90 degrees two-theta, by angle)
Position (°2θ), I/Imax
26.9, 32
27.2, 48
28.3, 36
30.0, 86
35.5, 100
40.1, 23
45.1, 44
48.9, 24
49.2, 37
58.5, 25

```
Nd2Sm2C2Br2F3
1.0
9.3397 -1.8609 0.0000
9.3397 1.8609 0.0000
-2.0423 0.0000 6.6328
Nd Sm C Br F
2 2 2 2 3
Cartesian
-0.3442 0.0000 1.6167 Nd
16.9814 0.0000 5.0161 Nd
4.5224 0.0000 5.7801 Sm
12.1148 0.0000 0.8527 Sm
6.6136 0.0000 6.4627 C
10.0235 0.0000 0.1701 C
1.4226 0.0000 5.2494 Br
15.2145 0.0000 1.3834 Br
2.3643 0.0000 2.2073 F
8.3186 0.0000 3.3164 F
14.2728 0.0000 4.4254 F
```

***

Starting from a GGA-PBE-relaxed structure, the PXRD pattern of Nd2Sm2C2Br4F was calculated for a wavelength of 1.5418 Å.
No peak broadening, texture or thermal motion is included.

Peak list (10 most intense, 15 to 90 degrees two-theta, by angle)
Position (°2θ), I/Imax
24.0, 17
26.4, 22
28.6, 77
28.8, 19
31.4, 18
33.3, 100
44.1, 36
44.8, 45
48.1, 20
57.0, 30

```
Nd2Sm2C2Br4F
1.0
9.6016 -1.8911 0.0000
9.6016 1.8911 0.0000
-1.7105 0.0000 7.4717
Nd Sm C Br F
2 2 2 4 1
Cartesian
18.8108 0.0000 1.6889 Nd
-1.3181 0.0000 5.7828 Nd
5.0649 0.0000 6.7471 Sm
12.4278 0.0000 0.7246 Sm
7.2104 0.0000 7.3098 C
10.2823 0.0000 0.1619 C
2.4460 0.0000 2.8559 Br
1.8715 0.0000 6.1057 Br
15.6212 0.0000 1.3660 Br
15.0467 0.0000 4.6158 Br
8.7464 0.0000 3.7358 F
```

***

Starting from a GGA-PBE-relaxed structure, the PXRD pattern of Sm4CBrF4 was calculated for a wavelength of 1.5418 Å.
No peak broadening, texture or thermal motion is included.

Peak list (10 most intense, 15 to 90 degrees two-theta, by angle)
Position (°2θ), I/Imax
22.0, 41
27.0, 28
30.3, 46
31.5, 50
33.2, 100
40.7, 35
41.6, 25
46.2, 29
49.5, 33
57.0, 32

```
Sm4CBrF4
1.0
7.4635 -1.8497 0.0000
7.4635 1.8497 0.0000
-3.6793 0.0000 7.1937
Sm C Br F
4 1 1 4
Cartesian
-0.6798 0.0000 1.5170 Sm
1.6374 0.0000 6.1580 Sm
9.6104 0.0000 1.0357 Sm
11.9276 0.0000 5.6767 Sm
7.4635 0.0000 0.0000 C
5.6239 0.0000 3.5968 Br
-0.8094 0.0000 6.7848 F
1.6534 0.0000 2.4163 F
9.5944 0.0000 4.7774 F
12.0572 0.0000 0.4089 F
```

***

Starting from a GGA-PBE-relaxed structure, the PXRD pattern of Tm2CBrF was calculated for a wavelength of 1.5418 Å.
No peak broadening, texture or thermal motion is included.

Peak list (10 most intense, 15 to 90 degrees two-theta, by angle)
Position (°2θ), I/Imax
28.6, 38
30.7, 58
33.6, 18
36.5, 100
44.7, 16
50.6, 33
62.1, 19
64.0, 19
65.5, 16
85.9, 17

```
Tm2CBrF
1.0
3.6054 0.0000 0.0000
-1.8027 3.1224 0.0000
0.0000 0.0000 8.0053
Tm C Br F
2 1 1 1
Cartesian
0.0000 0.0000 0.0000 Tm
0.0000 2.0816 2.6208 Tm
1.8027 1.0408 1.3808 C
0.0000 0.0000 4.6087 Br
0.0000 2.0816 7.0586 F
```

***

Starting from a GGA-PBE-relaxed structure, the PXRD pattern of Fe3C8Br16N8 was calculated for a wavelength of 1.5418 Å.
No peak broadening, texture or thermal motion is included.

Peak list (10 most intense, 15 to 90 degrees two-theta, by angle)
Position (°2θ), I/Imax
21.8, 89
21.9, 71
24.2, 99
24.5, 43
25.7, 100
27.9, 46
28.5, 63
28.9, 46
30.5, 50
31.1, 33

```
Fe3C8Br16N8
1.0
8.1796 0.0000 0.0000
0.1356 9.5896 0.0000
0.4904 2.6877 12.1116
Fe C Br N
3 8 16 8
Cartesian
0.0000 0.0000 0.0000 Fe
3.4798 9.1059 8.6313 Fe
5.3259 3.1714 3.4803 Fe
0.6720 7.3404 4.3179 C
1.1076 0.9306 2.9275 C
1.4147 6.6199 0.5715 C
3.1753 3.6801 10.5168 C
5.6304 8.5972 1.5949 C
7.3909 5.6574 11.5401 C
7.6981 11.3467 9.1841 C
8.1337 4.9368 7.7937 C
1.5196 8.0211 9.2770 Br
1.4488 4.8488 6.8112 Br
1.7343 1.2808 4.5638 Br
2.2144 5.0717 0.9683 Br
2.9488 11.1156 7.5110 Br
4.1206 4.6173 4.8704 Br
4.0236 2.5328 1.6013 Br
4.2072 8.0145 2.4962 Br
4.5985 4.2628 9.6155 Br
4.7820 9.7445 10.5103 Br
4.6850 7.6600 7.2413 Br
5.8568 1.1616 4.6007 Br
6.5913 7.2056 11.1434 Br
7.0713 10.9964 7.5479 Br
7.3568 7.4285 5.3005 Br
7.2860 4.2561 2.8346 Br
0.7255 0.6517 1.8600 N
0.9388 7.6602 0.3358 N
1.6698 7.3141 3.7054 N
2.2528 3.3068 11.1297 N
6.5528 8.9705 0.9819 N
7.1359 4.9631 8.4063 N
7.8668 4.6170 11.7759 N
8.0802 11.6256 10.2517 N
```

***

Starting from a GGA-PBE-relaxed structure, the PXRD pattern of Gd2Ho2CBr5 was calculated for a wavelength of 1.5418 Å.
No peak broadening, texture or thermal motion is included.

Peak list (10 most intense, 15 to 90 degrees two-theta, by angle)
Position (°2θ), I/Imax
28.8, 16
30.9, 42
31.4, 24
32.0, 100
34.8, 34
40.7, 18
45.0, 26
45.2, 25
47.5, 18
57.7, 21

```
Gd2Ho2CBr5
1.0
8.9175 -1.9145 0.0000
8.9175 1.9145 0.0000
-1.8309 0.0000 7.9659
Gd Ho C Br
2 2 1 5
Cartesian
-0.5182 0.0000 2.3664 Gd
16.5222 0.0000 5.5995 Gd
5.6840 0.0000 3.4019 Ho
10.3201 0.0000 4.5640 Ho
8.0020 0.0000 3.9830 C
1.4119 0.0000 6.6691 Br
2.4518 0.0000 2.6731 Br
8.9175 0.0000 0.0000 Br
13.5523 0.0000 5.2928 Br
14.5921 0.0000 1.2968 Br
```

***

Starting from a GGA-PBE-relaxed structure, the PXRD pattern of Gd2C2IBr was calculated for a wavelength of 1.5418 Å.
No peak broadening, texture or thermal motion is included.

Peak list (10 most intense, 15 to 90 degrees two-theta, by angle)
Position (°2θ), I/Imax
26.0, 48
28.9, 69
30.6, 41
31.3, 26
31.8, 100
34.3, 25
42.7, 37
44.3, 40
46.7, 20
55.8, 21

```
Gd2C2IBr
1.0
3.6219 -1.9446 0.0000
3.6219 1.9446 0.0000
-0.8754 0.0000 10.4530
Gd C I Br
2 2 1 1
Cartesian
0.0000 0.0000 0.0000 Gd
4.4743 0.0000 7.5868 Gd
1.2295 0.0000 9.3591 C
2.3685 0.0000 8.6734 C
4.7873 0.0000 2.1383 I
-0.2764 0.0000 5.7082 Br
```

***

Starting from a GGA-PBE-relaxed structure, the PXRD pattern of Gd2C4IBr was calculated for a wavelength of 1.5418 Å.
No peak broadening, texture or thermal motion is included.

Peak list (10 most intense, 15 to 90 degrees two-theta, by angle)
Position (°2θ), I/Imax
21.9, 24
24.7, 24
31.9, 100
38.4, 52
41.3, 9
50.7, 27
62.0, 20
65.3, 25
69.4, 9
77.3, 9

```
Gd2C4IBr
1.0
4.6918 0.0000 0.0000
-2.3459 4.0632 0.0000
0.0000 0.0000 7.7744
Gd C I Br
2 4 1 1
Cartesian
0.0000 0.0000 1.8692 Gd
0.0000 0.0000 5.9053 Gd
0.0000 2.7088 3.2444 C
0.0000 2.7088 4.5300 C
2.3459 1.3544 0.6382 C
2.3459 1.3544 7.1363 C
2.3459 1.3544 3.8872 I
0.0000 2.7088 0.0000 Br
```

***

Starting from a GGA-PBE-relaxed structure, the PXRD pattern of Nd2Gd2C2Br5 was calculated for a wavelength of 1.5418 Å.
No peak broadening, texture or thermal motion is included.

Peak list (10 most intense, 15 to 90 degrees two-theta, by angle)
Position (°2θ), I/Imax
17.6, 28
27.0, 20
27.9, 66
31.5, 37
32.0, 100
35.7, 36
39.6, 23
46.2, 51
46.5, 19
55.2, 19

```
Nd2Gd2C2Br5
1.0
-1.9518 4.1011 9.5786
1.9518 -4.1011 9.5786
1.9518 4.1011 -9.5786
Nd Gd C Br
2 2 2 5
Cartesian
0.0000 1.6658 0.0000 Nd
0.0000 6.5365 0.0000 Nd
1.9518 0.0000 2.8792 Gd
0.0000 4.1011 6.6994 Gd
1.9518 0.0000 0.7050 C
0.0000 4.1011 8.8736 C
1.9518 -1.9652 6.4810 Br
0.0000 2.1359 3.0976 Br
0.0000 0.0000 9.5786 Br
1.9518 1.9652 6.4810 Br
0.0000 6.0664 3.0976 Br
```

***

Starting from a GGA-PBE-relaxed structure, the PXRD pattern of Nd3GdC2Br2 was calculated for a wavelength of 1.5418 Å.
No peak broadening, texture or thermal motion is included.

Peak list (10 most intense, 15 to 90 degrees two-theta, by angle)
Position (°2θ), I/Imax
27.2, 25
27.9, 7
32.8, 100
36.5, 15
46.1, 13
48.0, 24
59.4, 18
61.8, 20
63.4, 12
79.8, 15

```
Nd3GdC2Br2
1.0
3.7882 0.0000 0.0000
-1.8941 3.2807 0.0000
0.0000 0.0000 14.7622
Nd Gd C Br
3 1 2 2
Cartesian
0.0000 0.0000 0.0000 Nd
0.0000 0.0000 4.7195 Nd
1.8941 1.0936 7.4645 Nd
1.8941 1.0936 12.1000 Gd
0.0000 2.1871 6.0968 C
0.0000 2.1871 13.3463 C
0.0000 0.0000 9.8664 Br
1.8941 1.0936 2.3450 Br
```